Entry 1:
Ho3Ga: theoretical powder diffractogram (Cu Kα (weighted mean of Kα1 and Kα2)), based on a structure optimized by DFT (GGA-PBE).
Lines closer than 0.1° are merged.

```
data_Ho3Ga
_space_group_name_H-M_alt 'P m -3 m'
_space_group_IT_number 221
_space_group_name_Hall '-P 4 2 3'
_cell_length_a 4.696
_cell_length_b 4.696
_cell_length_c 4.696
_cell_angle_alpha 90.00
_cell_angle_beta 90.00
_cell_angle_gamma 90.00
loop_
_atom_site_label
_atom_site_type_symbol
_atom_site_fract_x
_atom_site_fract_y
_atom_site_fract_z
_atom_site_occupancy
Ho1 Ho 0.000 0.000 0.500 1
Ga1 Ga 0.500 0.500 0.500 1
```

Main lines, most intense first (10 to 90 degrees two-theta):
two_theta  d [Å]  I_rel  h k l
33.0  2.712  100  1 1 1
38.3  2.348  50  2 0 0
66.0  1.416  41  3 1 1
55.3  1.660  35  2 2 0
69.3  1.356  12  2 2 2
18.9  4.696  7  1 0 0
26.8  3.321  6  1 1 0
82.1  1.174  6  4 0 0
43.1  2.100  4  2 1 0
47.4  1.917  3  2 1 1

=====

Entry 2:
Mg6TiW: theoretical powder diffractogram (Cu Kα (weighted mean of Kα1 and Kα2)), based on a structure optimized by DFT (GGA-PBE).
Lines closer than 0.1° are merged.

```
data_Mg6TiW
_space_group_name_H-M_alt 'A m m 2'
_space_group_IT_number 38
_space_group_name_Hall 'A 2 -2'
_cell_length_a 4.809
_cell_length_b 6.003
_cell_length_c 11.041
_cell_angle_alpha 90.00
_cell_angle_beta 90.00
_cell_angle_gamma 90.00
loop_
_atom_site_label
_atom_site_type_symbol
_atom_site_fract_x
_atom_site_fract_y
_atom_site_fract_z
_atom_site_occupancy
Mg1 Mg 0.000 0.000 0.000 1
Mg2 Mg 0.000 0.241 0.247 1
Mg3 Mg 0.500 0.000 0.845 1
Mg4 Mg 0.500 0.244 0.597 1
Ti1 Ti 0.000 0.000 0.472 1
W1 W 0.500 0.000 0.370 1
```

Main lines, most intense first (10 to 90 degrees two-theta):
two_theta  d [Å]  I_rel  h k l
16.8  5.274  100  0 1 1
39.0  2.312  63  1 2 2
37.6  2.394  58  1 0 4
16.1  5.521  51  0 0 2
34.0  2.637  45  0 2 2
25.1  3.554  42  1 1 1
37.4  2.405  32  2 0 0
51.4  1.777  27  2 2 2
34.1  2.628  27  1 1 3
24.5  3.626  26  1 0 2

=====

Entry 3:
CdH12C2S2N6Cl4: theoretical powder diffractogram (Cu Kα (weighted mean of Kα1 and Kα2)), based on a structure optimized by DFT (GGA-PBE).
Lines closer than 0.1° are merged.

```
data_CdH12C2S2N6Cl4
_space_group_name_H-M_alt 'P 1 21/c 1'
_space_group_IT_number 14
_space_group_name_Hall '-P 2ybc'
_cell_length_a 7.335
_cell_length_b 8.589
_cell_length_c 12.635
_cell_angle_alpha 90.00
_cell_angle_beta 119.37
_cell_angle_gamma 90.00
loop_
_atom_site_label
_atom_site_type_symbol
_atom_site_fract_x
_atom_site_fract_y
_atom_site_fract_z
_atom_site_occupancy
Cd1 Cd 0.000 0.000 0.000 1
H1 H 0.172 0.038 0.762 1
H2 H 0.235 0.177 0.429 1
H3 H 0.250 0.525 0.945 1
H4 H 0.271 0.644 0.285 1
H5 H 0.309 0.642 0.123 1
H6 H 0.437 0.014 0.836 1
C1 C 0.266 0.099 0.590 1
S1 S 0.257 0.228 0.151 1
N1 N 0.255 0.082 0.481 1
N2 N 0.287 0.534 0.152 1
N3 N 0.295 0.531 0.266 1
Cl1 Cl 0.085 0.624 0.712 1
Cl2 Cl 0.329 0.658 0.517 1
```

Main lines, most intense first (10 to 90 degrees two-theta):
two_theta  d [Å]  I_rel  h k l
13.1  6.772  100  0 1 1
15.2  5.813  79  1 0 -2
27.0  3.300  74  2 1 -1
13.9  6.392  50  1 0 0
21.8  4.075  49  1 1 1
26.5  3.358  39  2 1 -2
28.3  3.149  37  1 2 1
40.4  2.235  35  3 1 -1
15.9  5.561  34  1 1 -1
36.9  2.435  33  1 3 1

=====

Entry 4:
La21Mn8Sb7C12: theoretical powder diffractogram (Cu Kα (weighted mean of Kα1 and Kα2)), based on a structure optimized by DFT (GGA-PBE).
Lines closer than 0.1° are merged.

```
data_La21Mn8Sb7C12
_space_group_name_H-M_alt 'F m -3 m'
_space_group_IT_number 225
_space_group_name_Hall '-F 4 2 3'
_cell_length_a 16.470
_cell_length_b 16.470
_cell_length_c 16.470
_cell_angle_alpha 90.00
_cell_angle_beta 90.00
_cell_angle_gamma 90.00
loop_
_atom_site_label
_atom_site_type_symbol
_atom_site_fract_x
_atom_site_fract_y
_atom_site_fract_z
_atom_site_occupancy
La1 La 0.000 0.000 0.000 1
La2 La 0.000 0.170 0.330 1
La3 La 0.135 0.135 0.135 1
Mn1 Mn 0.198 0.198 0.302 1
Sb1 Sb 0.000 0.000 0.209 1
Sb2 Sb 0.000 0.000 0.500 1
C1 C 0.106 0.250 0.250 1
```

Main lines, most intense first (10 to 90 degrees two-theta):
two_theta  d [Å]  I_rel  h k l
28.2  3.170  100  3 3 3
32.6  2.745  73  6 0 0
32.2  2.784  60  5 3 1
30.7  2.911  36  4 4 0
46.8  1.941  33  6 6 0
42.1  2.144  26  5 5 3
55.5  1.655  20  9 3 3
54.6  1.681  19  8 4 4
75.5  1.259  16  9 9 3
64.8  1.439  15  9 5 5

=====

Entry 5:
Pa2SbTe: theoretical powder diffractogram (Cu Kα (weighted mean of Kα1 and Kα2)), based on a structure optimized by DFT (GGA-PBE).
Lines closer than 0.1° are merged.

```
data_Pa2SbTe
_space_group_name_H-M_alt 'F m -3 m'
_space_group_IT_number 225
_space_group_name_Hall '-F 4 2 3'
_cell_length_a 7.438
_cell_length_b 7.438
_cell_length_c 7.438
_cell_angle_alpha 90.00
_cell_angle_beta 90.00
_cell_angle_gamma 90.00
loop_
_atom_site_label
_atom_site_type_symbol
_atom_site_fract_x
_atom_site_fract_y
_atom_site_fract_z
_atom_site_occupancy
Pa1 Pa 0.250 0.250 0.250 1
Sb1 Sb 0.000 0.000 0.000 1
Te1 Te 0.000 0.000 0.500 1
```

Main lines, most intense first (10 to 90 degrees two-theta):
two_theta  d [Å]  I_rel  h k l
34.1  2.630  100  2 2 0
61.0  1.518  38  4 2 2
49.0  1.859  18  4 0 0
81.9  1.176  17  6 2 0
71.8  1.315  12  4 4 0
23.9  3.719  10  2 0 0
55.2  1.663  5  4 2 0
42.1  2.147  3  2 2 2
76.9  1.240  2  6 0 0
86.9  1.121  2  6 2 2

=====

Entry 6:
TiS3: theoretical powder diffractogram (Cu Kα (weighted mean of Kα1 and Kα2)), based on a structure optimized by DFT (GGA-PBE).
Lines closer than 0.1° are merged.

```
data_TiS3
_space_group_name_H-M_alt 'P 1 21/m 1'
_space_group_IT_number 11
_space_group_name_Hall '-P 2yb'
_cell_length_a 5.030
_cell_length_b 3.416
_cell_length_c 9.518
_cell_angle_alpha 90.00
_cell_angle_beta 95.77
_cell_angle_gamma 90.00
loop_
_atom_site_label
_atom_site_type_symbol
_atom_site_fract_x
_atom_site_fract_y
_atom_site_fract_z
_atom_site_occupancy
Ti1 Ti 0.223 0.250 0.359 1
S1 S 0.010 0.250 0.801 1
S2 S 0.259 0.750 0.547 1
S3 S 0.396 0.750 0.200 1
```

Main lines, most intense first (10 to 90 degrees two-theta):
two_theta  d [Å]  I_rel  h k l
32.3  2.770  100  0 1 2
38.8  2.318  39  0 1 3
19.2  4.620  34  1 0 -1
20.9  4.252  30  1 0 1
46.7  1.943  29  2 1 1
18.7  4.735  26  0 0 2
38.1  2.361  24  2 0 1
44.3  2.047  24  1 1 3
45.2  2.008  22  2 1 -1
41.7  2.165  21  1 1 -3